[1]
This entry pairs a crystal structure of Rb2Tb2SnS6 with its calculated powder diffractogram. Radiation: Cu Kα (λ = 1.5418 Å). Structure: a structure optimized by DFT (PBE).

The 12 most intense peaks (5° ≤ 2θ ≤ 70°), sorted by position:
11.17 deg, I 97
22.46 deg, I 36
26.25 deg, I 13
27.00 deg, I 54
29.89 deg, I 49
30.11 deg, I 100
37.32 deg, I 16
40.13 deg, I 54
45.64 deg, I 32
45.86 deg, I 25
46.56 deg, I 15
55.72 deg, I 16

Atomic structure:
```
data_Rb2Tb2SnS6
_chemical_formula_sum 'Rb2 Tb2 Sn1 S6'
_symmetry_space_group_name_H-M 'P 1'
_symmetry_Int_Tables_number 1
_symmetry_space_group_name_Hall 'P 1'
_cell_length_a 6.8641
_cell_length_b 6.8641
_cell_length_c 8.2577
_cell_angle_alpha 98.19
_cell_angle_beta 98.19
_cell_angle_gamma 119.68
loop_
_atom_site_label
_atom_site_type_symbol
_atom_site_fract_x
_atom_site_fract_y
_atom_site_fract_z
Rb1 Rb 0.1699 0.8301 0.0000
Rb2 Rb 0.8301 0.1699 0.0000
Tb1 Tb 0.3325 0.6675 0.5000
Tb2 Tb 0.6675 0.3325 0.5000
Sn1 Sn 0.0000 0.0000 0.5000
S1 S 0.0641 0.3823 0.6869
S2 S 0.2496 0.2496 0.3159
S3 S 0.3823 0.0641 0.6869
S4 S 0.6177 0.9359 0.3131
S5 S 0.7504 0.7504 0.6841
S6 S 0.9359 0.6177 0.3131
```

[2]
This entry pairs a crystal structure of La4H9 with its calculated powder diffractogram. Radiation: Cu Kα (λ = 1.5418 Å). Structure: a structure optimized by DFT (PBE).

The 10 most intense peaks (5° ≤ 2θ ≤ 70°), sorted by position:
27.57 deg, I 100
31.78 deg, I 17
32.03 deg, I 33
45.74 deg, I 26
45.93 deg, I 13
54.09 deg, I 15
54.41 deg, I 30
56.93 deg, I 13
66.40 deg, I 2
66.97 deg, I 4

Atomic structure:
```
data_La4H9
_chemical_formula_sum 'La4 H9'
_symmetry_space_group_name_H-M 'P 1'
_symmetry_Int_Tables_number 1
_symmetry_space_group_name_Hall 'P 1'
_cell_length_a 6.8798
_cell_length_b 6.8798
_cell_length_c 6.8798
_cell_angle_alpha 132.07
_cell_angle_beta 132.07
_cell_angle_gamma 70.12
loop_
_atom_site_label
_atom_site_type_symbol
_atom_site_fract_x
_atom_site_fract_y
_atom_site_fract_z
La1 La 0.0000 0.5000 0.5000
La2 La 0.2454 0.2454 0.0000
La3 La 0.5000 0.0000 0.5000
La4 La 0.7546 0.7546 0.0000
H1 H 0.0000 0.0000 0.0000
H2 H 0.1320 0.1320 0.5173
H3 H 0.1320 0.6147 0.0000
H4 H 0.3853 0.3853 0.5173
H5 H 0.3853 0.8680 0.0000
H6 H 0.6147 0.1320 0.0000
H7 H 0.6147 0.6147 0.4827
H8 H 0.8680 0.3853 0.0000
H9 H 0.8680 0.8680 0.4827
```

[3]
This entry pairs a crystal structure of Nd14TmIn with its calculated powder diffractogram. Radiation: Cu Kα (λ = 1.5418 Å). Structure: a structure optimized by DFT (PBE).

The 8 most intense peaks (5° ≤ 2θ ≤ 70°), sorted by position:
30.14 deg, I 100
34.77 deg, I 17
35.03 deg, I 34
50.19 deg, I 24
50.38 deg, I 12
59.49 deg, I 14
59.84 deg, I 28
62.67 deg, I 12

Atomic structure:
```
data_Nd14TmIn
_chemical_formula_sum 'Nd14 Tm1 In1'
_symmetry_space_group_name_H-M 'P 1'
_symmetry_Int_Tables_number 1
_symmetry_space_group_name_Hall 'P 1'
_cell_length_a 7.2447
_cell_length_b 7.2447
_cell_length_c 10.3203
_cell_angle_alpha 90.00
_cell_angle_beta 90.00
_cell_angle_gamma 90.00
loop_
_atom_site_label
_atom_site_type_symbol
_atom_site_fract_x
_atom_site_fract_y
_atom_site_fract_z
Nd1 Nd 0.0000 0.0000 0.0000
Nd2 Nd 0.0000 0.5000 0.0000
Nd3 Nd 0.0000 0.5000 0.5000
Nd4 Nd 0.2485 0.2485 0.2556
Nd5 Nd 0.2485 0.2485 0.7444
Nd6 Nd 0.2485 0.7515 0.2556
Nd7 Nd 0.2485 0.7515 0.7444
Nd8 Nd 0.5000 0.0000 0.0000
Nd9 Nd 0.5000 0.0000 0.5000
Nd10 Nd 0.5000 0.5000 0.0000
Nd11 Nd 0.7515 0.2485 0.2556
Nd12 Nd 0.7515 0.2485 0.7444
Nd13 Nd 0.7515 0.7515 0.2556
Nd14 Nd 0.7515 0.7515 0.7444
Tm1 Tm 0.5000 0.5000 0.5000
In1 In 0.0000 0.0000 0.5000
```

[4]
This entry pairs a crystal structure of RbPm3Cl10 with its calculated powder diffractogram. Radiation: Cu Kα (λ = 1.5418 Å). Structure: a structure optimized by DFT (PBE).

The 12 most intense peaks (5° ≤ 2θ ≤ 70°), sorted by position:
17.34 deg, I 15
21.28 deg, I 100
24.62 deg, I 36
32.15 deg, I 20
35.09 deg, I 70
36.75 deg, I 12
41.40 deg, I 80
43.33 deg, I 14
50.47 deg, I 13
55.37 deg, I 27
62.95 deg, I 30
67.26 deg, I 14

Atomic structure:
```
data_RbPm3Cl10
_chemical_formula_sum 'Rb2 Pm6 Cl20'
_symmetry_space_group_name_H-M 'P 1'
_symmetry_Int_Tables_number 1
_symmetry_space_group_name_Hall 'P 1'
_cell_length_a 10.2294
_cell_length_b 10.2294
_cell_length_c 10.2294
_cell_angle_alpha 60.00
_cell_angle_beta 60.00
_cell_angle_gamma 60.00
loop_
_atom_site_label
_atom_site_type_symbol
_atom_site_fract_x
_atom_site_fract_y
_atom_site_fract_z
Rb1 Rb 0.2500 0.2500 0.2500
Rb2 Rb 0.7500 0.7500 0.7500
Pm1 Pm 0.2399 0.2399 0.7601
Pm2 Pm 0.2399 0.7601 0.2399
Pm3 Pm 0.2399 0.7601 0.7601
Pm4 Pm 0.7601 0.2399 0.2399
Pm5 Pm 0.7601 0.2399 0.7601
Pm6 Pm 0.7601 0.7601 0.2399
Cl1 Cl 0.1146 0.1146 0.1146
Cl2 Cl 0.1146 0.1146 0.6560
Cl3 Cl 0.1146 0.6560 0.1146
Cl4 Cl 0.1643 0.5000 0.5000
Cl5 Cl 0.1643 0.5000 0.8357
Cl6 Cl 0.1643 0.8357 0.5000
Cl7 Cl 0.3440 0.8854 0.8854
Cl8 Cl 0.5000 0.1643 0.5000
Cl9 Cl 0.5000 0.1643 0.8357
Cl10 Cl 0.5000 0.5000 0.1643
Cl11 Cl 0.5000 0.5000 0.8357
Cl12 Cl 0.5000 0.8357 0.1643
Cl13 Cl 0.5000 0.8357 0.5000
Cl14 Cl 0.6560 0.1146 0.1146
Cl15 Cl 0.8357 0.1643 0.5000
Cl16 Cl 0.8357 0.5000 0.1643
Cl17 Cl 0.8357 0.5000 0.5000
Cl18 Cl 0.8854 0.3440 0.8854
Cl19 Cl 0.8854 0.8854 0.3440
Cl20 Cl 0.8854 0.8854 0.8854
```

Please write out number 4 again, unchanged.
This entry pairs a crystal structure of RbPm3Cl10 with its calculated powder diffractogram. Radiation: Cu Kα (λ = 1.5418 Å). Structure: a structure optimized by DFT (PBE).

The 12 most intense peaks (5° ≤ 2θ ≤ 70°), sorted by position:
17.34 deg, I 15
21.28 deg, I 100
24.62 deg, I 36
32.15 deg, I 20
35.09 deg, I 70
36.75 deg, I 12
41.40 deg, I 80
43.33 deg, I 14
50.47 deg, I 13
55.37 deg, I 27
62.95 deg, I 30
67.26 deg, I 14

Atomic structure:
```
data_RbPm3Cl10
_chemical_formula_sum 'Rb2 Pm6 Cl20'
_symmetry_space_group_name_H-M 'P 1'
_symmetry_Int_Tables_number 1
_symmetry_space_group_name_Hall 'P 1'
_cell_length_a 10.2294
_cell_length_b 10.2294
_cell_length_c 10.2294
_cell_angle_alpha 60.00
_cell_angle_beta 60.00
_cell_angle_gamma 60.00
loop_
_atom_site_label
_atom_site_type_symbol
_atom_site_fract_x
_atom_site_fract_y
_atom_site_fract_z
Rb1 Rb 0.2500 0.2500 0.2500
Rb2 Rb 0.7500 0.7500 0.7500
Pm1 Pm 0.2399 0.2399 0.7601
Pm2 Pm 0.2399 0.7601 0.2399
Pm3 Pm 0.2399 0.7601 0.7601
Pm4 Pm 0.7601 0.2399 0.2399
Pm5 Pm 0.7601 0.2399 0.7601
Pm6 Pm 0.7601 0.7601 0.2399
Cl1 Cl 0.1146 0.1146 0.1146
Cl2 Cl 0.1146 0.1146 0.6560
Cl3 Cl 0.1146 0.6560 0.1146
Cl4 Cl 0.1643 0.5000 0.5000
Cl5 Cl 0.1643 0.5000 0.8357
Cl6 Cl 0.1643 0.8357 0.5000
Cl7 Cl 0.3440 0.8854 0.8854
Cl8 Cl 0.5000 0.1643 0.5000
Cl9 Cl 0.5000 0.1643 0.8357
Cl10 Cl 0.5000 0.5000 0.1643
Cl11 Cl 0.5000 0.5000 0.8357
Cl12 Cl 0.5000 0.8357 0.1643
Cl13 Cl 0.5000 0.8357 0.5000
Cl14 Cl 0.6560 0.1146 0.1146
Cl15 Cl 0.8357 0.1643 0.5000
Cl16 Cl 0.8357 0.5000 0.1643
Cl17 Cl 0.8357 0.5000 0.5000
Cl18 Cl 0.8854 0.3440 0.8854
Cl19 Cl 0.8854 0.8854 0.3440
Cl20 Cl 0.8854 0.8854 0.8854
```

> Which formula does entry 3 have?

Nd14TmIn